TbCeIrPd: theoretical PXRD pattern (Cu Kα (weighted mean of Kα1 and Kα2)), based on a crystal structure in Alexandria, relaxed with GGA-PBE.

Top 10 peaks for 2θ from 10° to 90°, low angle first:
(0 0 4), 2θ 31.74, I 42
(1 1 1), 2θ 32.75, I 100
(1 0 4), 2θ 38.56, I 21
(1 1 3), 2θ 39.98, I 72
(2 0 0), 2θ 43.46, I 26
(0 2 0), 2θ 47.48, I 20
(2 0 4), 2θ 54.81, I 18
(0 2 4), 2θ 58.25, I 15
(2 2 0), 2θ 66.32, I 16
(2 2 4), 2θ 75.40, I 14

Crystal structure
```
data_TbCeIrPd
_chemical_formula_sum 'Tb2 Ce2 Ir2 Pd2'
_cell_length_a 4.165
_cell_length_b 3.830
_cell_length_c 11.277
_cell_angle_alpha 90.00
_cell_angle_beta 90.00
_cell_angle_gamma 90.00
_symmetry_space_group_name_H-M 'A m m 2'
_symmetry_Int_Tables_number 38
_symmetry_space_group_name_Hall 'A 2 -2'
loop_
_atom_site_label
_atom_site_type_symbol
_atom_site_fract_x
_atom_site_fract_y
_atom_site_fract_z
Tb1 Tb 0.000 0.000 0.000
Ce1 Ce 0.500 0.000 0.724
Ir1 Ir 0.000 0.000 0.259
Pd1 Pd 0.500 0.000 0.443
```